[1]
# BaAc2PmHg4
Computed powder diffractogram, λ = 1.5418 Å (Cu Kα). Input: a structure optimized by DFT (PBE).
Peak positions follow from Bragg's law for the DFT cell and can differ from measured ones.

Principal peaks in the range 15° ≤ 2θ ≤ 90°, low angle first:
(0 1 8), 31.4 deg, d = 2.853 Å, I 97; (1 1 0), 31.5 deg, d = 2.839 Å, I 100; (2 0 8), 45.1 deg, d = 2.012 Å, I 36; (1 0 16), 55.7 deg, d = 1.650 Å, I 17; (1 2 8), 56.0 deg, d = 1.642 Å, I 38; (3 0 0), 56.1 deg, d = 1.639 Å, I 20; (0 2 16), 65.4 deg, d = 1.426 Å, I 11; (2 2 0), 65.8 deg, d = 1.419 Å, I 12; (2 1 16), 74.4 deg, d = 1.275 Å, I 15; (3 1 8), 74.7 deg, d = 1.271 Å, I 17

Crystal structure
Lattice parameters (Å, degrees): 5.6777 5.6777 28.0236 90.00 90.00 120.00
Space group R-3m (No. 166, hexagonal axes)
Unique sites:
Ba 0.0000 0.0000 0.0000
Ac 0.0000 0.0000 0.2488
Pm 0.0000 0.0000 0.5000
Hg 0.0000 0.0000 0.1292
Hg 0.0000 0.0000 0.3818

---

[2]
# Ba2SrAc2Hg5
Computed powder diffractogram, λ = 1.5418 Å (Cu Kα). Input: a structure optimized by DFT (PBE).
Peak positions follow from Bragg's law for the DFT cell and can differ from measured ones.

Principal peaks in the range 15° ≤ 2θ ≤ 90°, low angle first:
(4 0 0), 26.8 deg, d = 3.323 Å, I 19; (3 1 1), 30.1 deg, d = 2.973 Å, I 100; (3 2 1), 32.3 deg, d = 2.772 Å, I 17; (3 3 1), 35.7 deg, d = 2.512 Å, I 11; (4 4 0), 38.3 deg, d = 2.349 Å, I 13; (6 0 0), 40.7 deg, d = 2.215 Å, I 12; (0 0 2), 43.0 deg, d = 2.103 Å, I 13; (7 2 1), 54.8 deg, d = 1.675 Å, I 14; (7 3 1), 57.1 deg, d = 1.612 Å, I 12; (3 1 3), 70.9 deg, d = 1.330 Å, I 10

Crystal structure
Lattice parameters (Å, degrees): 13.290 13.290 4.207 90.00 90.00 90.00
Space group P4/mbm (No. 127)
Unique sites:
Ba 0.164 0.336 0.000
Sr 0.000 0.000 0.000
Ac 0.136 0.636 0.000
Hg 0.000 0.500 0.500
Hg 0.111 0.834 0.500

---

[3]
# BaAcI
Computed powder diffractogram, λ = 1.5418 Å (Cu Kα). Input: a structure optimized by DFT (PBE).
Peak positions follow from Bragg's law for the DFT cell and can differ from measured ones.

Principal peaks in the range 15° ≤ 2θ ≤ 90°, low angle first:
(6 0 0), 23.8 deg, d = 3.743 Å, I 54; (5 1 0), 24.8 deg, d = 3.585 Å, I 23; (3 1 -1), 28.8 deg, d = 3.097 Å, I 100; (3 1 1), 29.1 deg, d = 3.072 Å, I 95; (0 2 0), 30.0 deg, d = 2.976 Å, I 50; (7 1 0), 31.7 deg, d = 2.824 Å, I 23; (6 2 0), 38.6 deg, d = 2.330 Å, I 36; (3 3 -1), 52.6 deg, d = 1.740 Å, I 19; (3 3 1), 52.7 deg, d = 1.736 Å, I 18; (0 2 2), 54.2 deg, d = 1.693 Å, I 20

Crystal structure
Lattice parameters (Å, degrees): 22.459 5.951 4.116 90.00 90.74 90.00
Space group C2/m (No. 12)
Unique sites:
Ba 0.096 0.000 0.256
Ac 0.224 0.500 0.247
I 0.084 0.500 0.753

---

[4]
# BaAcIO2
Computed powder diffractogram, λ = 1.5418 Å (Cu Kα). Input: a structure optimized by DFT (PBE).
Peak positions follow from Bragg's law for the DFT cell and can differ from measured ones.

Principal peaks in the range 15° ≤ 2θ ≤ 90°, low angle first:
(1 0 3), 27.3 deg, d = 3.266 Å, I 100; (1 1 0), 28.8 deg, d = 3.102 Å, I 38; (0 0 6), 36.8 deg, d = 2.444 Å, I 12; (2 0 0), 41.2 deg, d = 2.194 Å, I 19; (1 1 6), 47.3 deg, d = 1.920 Å, I 25; (2 1 3), 50.1 deg, d = 1.821 Å, I 38; (2 0 6), 56.4 deg, d = 1.633 Å, I 13; (1 0 9), 60.6 deg, d = 1.528 Å, I 11; (2 1 9), 75.9 deg, d = 1.254 Å, I 11; (3 1 6), 79.4 deg, d = 1.207 Å, I 11

Crystal structure
Lattice parameters (Å, degrees): 4.387 4.387 14.670 90.00 90.00 90.00
Space group I4mm (No. 107)
Unique sites:
Ba 0.000 0.000 0.000
Ac 0.000 0.000 0.334
I 0.000 0.000 0.667
O 0.000 0.500 0.404

---

[5]
# BaAcPdI
Computed powder diffractogram, λ = 1.5418 Å (Cu Kα). Input: a structure optimized by DFT (PBE).
Peak positions follow from Bragg's law for the DFT cell and can differ from measured ones.

Principal peaks in the range 15° ≤ 2θ ≤ 90°, low angle first:
(0 1 2), 23.7 deg, d = 3.748 Å, I 28; (1 0 4), 26.4 deg, d = 3.371 Å, I 26; (0 1 5), 28.3 deg, d = 3.152 Å, I 100; (0 0 9), 30.1 deg, d = 2.966 Å, I 10; (1 0 7), 32.8 deg, d = 2.728 Å, I 19; (1 1 0), 40.0 deg, d = 2.255 Å, I 46; (1 0 10), 41.0 deg, d = 2.204 Å, I 24; (2 0 5), 49.7 deg, d = 1.834 Å, I 21; (1 1 9), 50.9 deg, d = 1.795 Å, I 15; (1 2 5), 65.6 deg, d = 1.423 Å, I 18

Crystal structure
Lattice parameters (Å, degrees): 4.5094 4.5094 26.6959 90.00 90.00 120.00
Space group R3m (No. 160, hexagonal axes)
Unique sites:
Ba 0.0000 0.0000 0.0000
Ac 0.0000 0.0000 0.7969
Pd 0.0000 0.0000 0.4068
I 0.0000 0.0000 0.2289

---

[6]
# BaAc2In2
Computed powder diffractogram, λ = 1.5418 Å (Cu Kα). Input: a structure optimized by DFT (PBE).
Peak positions follow from Bragg's law for the DFT cell and can differ from measured ones.

Principal peaks in the range 15° ≤ 2θ ≤ 90°, low angle first:
(0 6 0), 20.6 deg, d = 4.308 Å, I 21; (0 0 1), 22.7 deg, d = 3.916 Å, I 19; (1 5 0), 28.8 deg, d = 3.101 Å, I 100; (0 6 1), 30.9 deg, d = 2.898 Å, I 83; (1 1 1), 32.7 deg, d = 2.739 Å, I 72; (1 3 1), 34.2 deg, d = 2.624 Å, I 31; (0 0 2), 46.4 deg, d = 1.958 Å, I 17; (1 11 1), 51.1 deg, d = 1.788 Å, I 48; (1 5 2), 55.5 deg, d = 1.656 Å, I 32; (2 6 1), 57.2 deg, d = 1.611 Å, I 30

Crystal structure
Lattice parameters (Å, degrees): 3.876 25.848 3.916 90.00 90.00 90.00
Space group Cmmm (No. 65)
Unique sites:
Ba 0.000 0.000 0.000
Ac 0.000 0.180 0.000
In 0.000 0.403 0.500

---

- Number 5 is which compound?
  BaAcPdI

---

What did the sixth record say?
# BaAc2In2
Computed powder diffractogram, λ = 1.5418 Å (Cu Kα). Input: a structure optimized by DFT (PBE).
Peak positions follow from Bragg's law for the DFT cell and can differ from measured ones.

Principal peaks in the range 15° ≤ 2θ ≤ 90°, low angle first:
(0 6 0), 20.6 deg, d = 4.308 Å, I 21; (0 0 1), 22.7 deg, d = 3.916 Å, I 19; (1 5 0), 28.8 deg, d = 3.101 Å, I 100; (0 6 1), 30.9 deg, d = 2.898 Å, I 83; (1 1 1), 32.7 deg, d = 2.739 Å, I 72; (1 3 1), 34.2 deg, d = 2.624 Å, I 31; (0 0 2), 46.4 deg, d = 1.958 Å, I 17; (1 11 1), 51.1 deg, d = 1.788 Å, I 48; (1 5 2), 55.5 deg, d = 1.656 Å, I 32; (2 6 1), 57.2 deg, d = 1.611 Å, I 30

Crystal structure
Lattice parameters (Å, degrees): 3.876 25.848 3.916 90.00 90.00 90.00
Space group Cmmm (No. 65)
Unique sites:
Ba 0.000 0.000 0.000
Ac 0.000 0.180 0.000
In 0.000 0.403 0.500